# 1
Structure and computed powder diffraction line list of Mg5AgCl12 (a cell relaxed with GGA-PBE; Cu Ka).
No peak broadening, texture or thermal motion is included.

Atomic structure:
```
Mg5AgCl12
1.0
3.244 -5.482 0.000
3.244 5.482 0.000
-0.407 0.000 13.168
Mg Ag Cl
5 1 12
Direct
0.000 0.000 0.000 Mg
0.160 0.840 0.500 Mg
0.333 0.667 0.000 Mg
0.667 0.333 0.000 Mg
0.840 0.160 0.500 Mg
0.500 0.500 0.500 Ag
0.007 0.673 0.104 Cl
0.135 0.135 0.615 Cl
0.163 0.502 0.396 Cl
0.327 0.993 0.896 Cl
0.340 0.340 0.104 Cl
0.498 0.837 0.604 Cl
0.502 0.163 0.396 Cl
0.660 0.660 0.896 Cl
0.673 0.007 0.104 Cl
0.837 0.498 0.604 Cl
0.865 0.865 0.385 Cl
0.993 0.327 0.896 Cl
```

Top 8 peaks for 10 to 90 degrees two-theta, sorted by position:
- 2θ = 13.45°, I 100
- 2θ = 31.39°, I 39
- 2θ = 33.86°, I 15
- 2θ = 34.55°, I 20
- 2θ = 35.07°, I 16
- 2θ = 44.30°, I 17
- 2θ = 49.28°, I 16
- 2θ = 49.67°, I 16


# 2
Structure and computed powder diffraction line list of Pu4Hg (a cell relaxed with GGA-PBE; Cu Ka).
No peak broadening, texture or thermal motion is included.

Atomic structure:
```
Pu4Hg
1.0
5.769 0.000 0.000
0.000 5.769 0.000
0.000 0.000 5.769
Pu Hg
4 1
Direct
0.000 0.000 0.000 Pu
0.000 0.500 0.500 Pu
0.500 0.000 0.500 Pu
0.500 0.500 0.000 Pu
0.500 0.500 0.500 Hg
```

Top 8 peaks for 10 to 90 degrees two-theta, sorted by position:
- 2θ = 26.77°, I 80
- 2θ = 31.00°, I 100
- 2θ = 44.41°, I 77
- 2θ = 52.62°, I 40
- 2θ = 55.15°, I 27
- 2θ = 71.25°, I 16
- 2θ = 73.40°, I 36
- 2θ = 81.79°, I 27